(1)
The following is a computed powder diffractogram of CdGaSb3. It was derived from a GGA-PBE-relaxed structure, using Cu Kα (λ = 1.5418 Å).
Lines closer than 0.1° are merged.

Structure:
a = 5.565 Å, b = 5.565 Å, c = 5.565 Å
α = 90.00°, β = 90.00°, γ = 90.00°
Element x y z (fractional)
Cd1 0.000 0.000 0.000
Ga1 0.500 0.500 0.500
Sb1 0.000 0.000 0.500
Sb2 0.000 0.500 0.000
Sb3 0.500 0.000 0.000

Top 8 peaks for 2θ = 10–80°, low angle first:
two_theta  Rel. int.
15.93  48
27.77  67
32.17  100
36.09  25
46.14  72
54.70  30
57.36  25
76.56  31


(2)
The following is a computed powder diffractogram of Sc6CdGa5. It was derived from a GGA-PBE-relaxed structure, using Cu Kα (λ = 1.5418 Å).
Lines closer than 0.1° are merged.

Structure:
a = 8.309 Å, b = 8.309 Å, c = 8.309 Å
α = 146.47°, β = 132.16°, γ = 59.69°
Element x y z (fractional)
Sc1 0.075 0.329 0.746
Sc2 0.240 0.000 0.240
Sc3 0.416 0.671 0.746
Sc4 0.584 0.329 0.254
Sc5 0.760 0.000 0.760
Sc6 0.925 0.671 0.254
Cd1 0.500 0.500 0.000
Ga1 0.000 0.500 0.500
Ga2 0.167 0.167 0.000
Ga3 0.341 0.841 0.500
Ga4 0.659 0.159 0.500
Ga5 0.833 0.833 0.000

Top 8 peaks for 2θ = 10–80°, low angle first:
two_theta  Rel. int.
26.26  10
37.48  50
37.62  100
54.04  16
54.47  8
67.65  16
67.77  16
67.99  16


(3)
The following is a computed powder diffractogram of ScCdGa. It was derived from a GGA-PBE-relaxed structure, using Cu Kα (λ = 1.5418 Å).
Lines closer than 0.1° are merged.

Structure:
a = 6.253 Å, b = 6.253 Å, c = 5.764 Å
α = 117.39°, β = 117.39°, γ = 38.57°
Element x y z (fractional)
Sc1 0.189 0.189 0.188
Sc2 0.811 0.811 0.812
Cd1 0.500 0.500 0.245
Cd2 0.500 0.500 0.755
Ga1 0.132 0.132 0.631
Ga2 0.868 0.868 0.369

Top 8 peaks for 2θ = 10–80°, low angle first:
two_theta  Rel. int.
17.21  32
33.94  100
35.69  45
39.10  96
43.83  28
47.32  29
57.76  21
66.47  20


(4)
The following is a computed powder diffractogram of Sc5Cd4Ga. It was derived from a GGA-PBE-relaxed structure, using Cu Kα (λ = 1.5418 Å).
Lines closer than 0.1° are merged.

Structure:
a = 3.492 Å, b = 3.492 Å, c = 17.588 Å
α = 90.00°, β = 90.00°, γ = 90.00°
Element x y z (fractional)
Sc1 0.000 0.000 0.000
Sc2 0.000 0.000 0.205
Sc3 0.000 0.000 0.409
Sc4 0.000 0.000 0.591
Sc5 0.000 0.000 0.795
Cd1 0.500 0.500 0.103
Cd2 0.500 0.500 0.306
Cd3 0.500 0.500 0.694
Cd4 0.500 0.500 0.897
Ga1 0.500 0.500 0.500

Top 8 peaks for 2θ = 10–80°, low angle first:
two_theta  Rel. int.
25.32  11
25.51  21
36.25  100
36.38  51
44.84  10
52.40  17
65.11  15
65.38  32